Structure and computed powder diffraction line list of Hf4Co4Si7 (a crystal structure in OQMD, relaxed with GGA-PBE; copper Kα).

Cell and atoms:
a = 12.8294 Å, b = 12.8294 Å, c = 5.0354 Å
α = 90.00°, β = 90.00°, γ = 90.00°
Space group I4/mmm (No. 139)
Symmetry-distinct sites (fractional):
Hf 0.0000 0.1961 0.0000 x8
Hf 0.1375 0.1375 0.5000 x8
Co 0.1480 0.3520 0.2500 x16
Si 0.0000 0.0000 0.2498 x4
Si 0.0000 0.3011 0.5000 x8
Si 0.0000 0.4080 0.0000 x8
Si 0.2102 0.2102 0.0000 x8

Peak list (10 most intense, 15 to 90 degrees two-theta, low angle first)
2θ/deg, I_rel
27.36, 236
30.77, 395
33.87, 298
35.67, 194
39.41, 1000
39.74, 217
42.25, 689
61.06, 140
66.58, 215
66.82, 267

---

Structure and computed powder diffraction line list of PrNdAl4Fe2 (a crystal structure in OQMD, relaxed with GGA-PBE; copper Kα).

Cell and atoms:
a = 7.1184 Å, b = 4.0642 Å, c = 10.7095 Å
α = 90.00°, β = 90.00°, γ = 90.00°
Space group Amm2 (No. 38)
Symmetry-distinct sites (fractional):
Pr 0.0000 0.0000 0.0000 x2
Nd 0.5000 0.0000 0.1126 x2
Al 0.1921 0.0000 0.7232 x4
Al 0.3093 0.0000 0.3891 x4
Fe 0.0000 0.0000 0.2723 x2
Fe 0.5000 0.0000 0.8401 x2

Peak list (10 most intense, 15 to 90 degrees two-theta, low angle first)
2θ/deg, I_rel
23.41, 422
25.02, 332
34.53, 610
35.80, 1000
44.59, 174
51.40, 282
57.16, 106
58.47, 192
70.36, 132
75.64, 182

---

Structure and computed powder diffraction line list of Li4In2CuNi (a crystal structure in OQMD, relaxed with GGA-PBE; copper Kα).

Cell and atoms:
a = 4.3786 Å, b = 4.3786 Å, c = 6.1892 Å
α = 90.00°, β = 90.00°, γ = 90.00°
Space group P-4m2 (No. 115)
Symmetry-distinct sites (fractional):
Li 0.0000 0.0000 0.0000 x1
Li 0.0000 0.5000 0.7487 x2
Li 0.5000 0.5000 0.5000 x1
In 0.0000 0.5000 0.2592 x2
Cu 0.5000 0.5000 0.0000 x1
Ni 0.0000 0.0000 0.5000 x1

Peak list (10 most intense, 15 to 90 degrees two-theta, low angle first)
2θ/deg, I_rel
24.91, 1000
28.84, 76
41.24, 896
48.78, 466
59.74, 142
65.74, 181
67.68, 27
75.18, 278
80.63, 134
89.56, 89

---

Structure and computed powder diffraction line list of SiAg2HgSeS3 (a crystal structure in OQMD, relaxed with GGA-PBE; copper Kα).

Cell and atoms:
a = 8.1278 Å, b = 8.0508 Å, c = 7.0972 Å
α = 90.00°, β = 124.75°, γ = 90.00°
Space group Cm (No. 8)
Symmetry-distinct sites (fractional):
Si 0.0000 0.0000 0.0000 x2
Ag 0.0191 0.2324 0.5230 x4
Hg 0.0146 0.5000 0.0213 x2
Se 0.3471 0.0000 0.2536 x2
S 0.3969 0.2844 0.7818 x4
S 0.4035 0.5000 0.2273 x2

Peak list (10 most intense, 15 to 90 degrees two-theta, low angle first)
2θ/deg, I_rel
17.27, 446
26.74, 938
26.91, 1000
27.73, 313
31.28, 227
44.32, 379
44.42, 377
52.25, 198
52.85, 278
53.16, 272

---

Structure and computed powder diffraction line list of LaDy2Zn2Si4Ni2 (a crystal structure in OQMD, relaxed with GGA-PBE; copper Kα).

Cell and atoms:
a = 4.0598 Å, b = 4.0782 Å, c = 24.3155 Å
α = 90.00°, β = 90.00°, γ = 90.00°
Space group Immm (No. 71)
Symmetry-distinct sites (fractional):
La 0.0000 0.0000 0.0000 x2
Dy 0.0000 0.5000 0.1427 x4
Zn 0.0000 0.0000 0.2500 x4
Si 0.0000 0.0000 0.4488 x4
Si 0.0000 0.5000 0.3144 x4
Ni 0.0000 0.5000 0.4060 x4

Peak list (10 most intense, 15 to 90 degrees two-theta, low angle first)
2θ/deg, I_rel
24.44, 274
33.96, 443
34.49, 1000
44.43, 188
44.65, 202
46.75, 235
57.08, 169
64.81, 129
66.62, 135
75.38, 136

---

Structure and computed powder diffraction line list of TaBiAs (a crystal structure in OQMD, relaxed with GGA-PBE; copper Kα).

Cell and atoms:
a = 6.6981 Å, b = 6.6981 Å, c = 6.6981 Å
α = 90.00°, β = 90.00°, γ = 90.00°
Space group F-43m (No. 216)
Symmetry-distinct sites (fractional):
Ta 0.0000 0.0000 0.0000 x4
Bi 0.2500 0.2500 0.2500 x4
As 0.2500 0.2500 0.7500 x4

Peak list (10 most intense, 15 to 90 degrees two-theta, low angle first)
2θ/deg, I_rel
23.00, 537
26.62, 66
38.00, 1000
44.88, 288
54.82, 175
60.22, 123
68.64, 361
73.46, 93
81.25, 116
85.83, 96

---

Structure and computed powder diffraction line list of NiPb2Br6 (a crystal structure in OQMD, relaxed with GGA-PBE; copper Kα).

Cell and atoms:
a = 9.6819 Å, b = 6.7973 Å, c = 8.2598 Å
α = 90.00°, β = 90.77°, γ = 90.00°
Space group P2_1/c (No. 14)
Symmetry-distinct sites (fractional):
Ni 0.0000 0.0000 0.0000 x2
Pb 0.2788 0.0418 0.6218 x4
Br 0.0560 0.2142 0.3513 x4
Br 0.2295 0.6138 0.4775 x4
Br 0.4424 0.1540 0.3294 x4

Peak list (10 most intense, 15 to 90 degrees two-theta, low angle first)
2θ/deg, I_rel
19.31, 1000
23.31, 276
29.90, 529
31.54, 219
32.18, 354
32.70, 373
35.17, 456
35.36, 328
35.53, 398
45.64, 217

---

Structure and computed powder diffraction line list of Lu2BeRe (a crystal structure in OQMD, relaxed with GGA-PBE; copper Kα).

Cell and atoms:
a = 6.5987 Å, b = 6.5987 Å, c = 6.5987 Å
α = 90.00°, β = 90.00°, γ = 90.00°
Space group F-43m (No. 216)
Symmetry-distinct sites (fractional):
Lu 0.0000 0.0000 0.0000 x4
Lu 0.2500 0.2500 0.2500 x4
Be 0.0000 0.0000 0.5000 x4
Re 0.2500 0.2500 0.7500 x4

Peak list (10 most intense, 15 to 90 degrees two-theta, low angle first)
2θ/deg, I_rel
23.35, 234
27.03, 138
38.59, 1000
45.60, 123
47.75, 40
55.72, 174
61.23, 51
63.00, 53
69.83, 356
82.74, 114

---

Structure and computed powder diffraction line list of Pr4Ho2Te2Pd (a crystal structure in OQMD, relaxed with GGA-PBE; copper Kα).

Cell and atoms:
a = 4.0658 Å, b = 15.0065 Å, c = 8.5838 Å
α = 90.00°, β = 90.00°, γ = 90.00°
Space group Amm2 (No. 38)
Symmetry-distinct sites (fractional):
Pr 0.0000 0.0000 0.0000 x2
Pr 0.0000 0.2040 0.3876 x4
Pr 0.5000 0.0000 0.3461 x2
Ho 0.5000 0.1210 0.7137 x4
Te 0.5000 0.1691 0.0899 x4
Pd 0.0000 0.0000 0.6080 x2

Peak list (10 most intense, 15 to 90 degrees two-theta, low angle first)
2θ/deg, I_rel
30.18, 1000
30.28, 484
31.63, 708
31.84, 405
32.47, 474
32.60, 878
36.17, 366
38.77, 417
44.57, 357
58.69, 374

---

Structure and computed powder diffraction line list of Lu8Cu2C3N3 (a crystal structure in OQMD, relaxed with GGA-PBE; copper Kα).

Cell and atoms:
a = 3.4272 Å, b = 3.4272 Å, c = 24.7055 Å
α = 90.00°, β = 90.00°, γ = 120.00°
Space group P-3m1 (No. 164)
Symmetry-distinct sites (fractional):
Lu 0.0000 0.0000 0.1616 x2
Lu 0.0000 0.0000 0.3311 x2
Lu 0.3333 0.6667 0.5573 x2
Lu 0.3333 0.6667 0.9463 x2
Cu 0.3333 0.6667 0.7562 x2
C 0.0000 0.0000 0.5000 x1
C 0.3333 0.6667 0.3794 x2
N 0.0000 0.0000 0.0000 x1
N 0.3333 0.6667 0.1119 x2

Peak list (10 most intense, 15 to 90 degrees two-theta, low angle first)
2θ/deg, I_rel
28.91, 195
30.99, 463
32.05, 216
33.50, 293
35.28, 686
36.36, 243
37.35, 1000
53.47, 488
54.22, 247
66.39, 257

---

Structure and computed powder diffraction line list of Nb5Si6Ni2 (a crystal structure in OQMD, relaxed with GGA-PBE; copper Kα).

Cell and atoms:
a = 5.0497 Å, b = 5.0497 Å, c = 25.9256 Å
α = 90.00°, β = 90.00°, γ = 120.00°
Space group R-3m (No. 166, hexagonal axes)
Symmetry-distinct sites (fractional):
Nb 0.0000 0.0000 0.0000 x3
Nb 0.0000 0.0000 0.1675 x6
Nb 0.0000 0.0000 0.3477 x6
Si 0.0040 0.5020 0.4145 x18
Ni 0.0000 0.0000 0.4504 x6

Peak list (10 most intense, 15 to 90 degrees two-theta, low angle first)
2θ/deg, I_rel
20.56, 243
35.56, 991
40.45, 273
41.42, 1000
43.64, 457
44.99, 182
67.85, 207
69.45, 186
75.28, 207
76.09, 195

---

Structure and computed powder diffraction line list of La2Mg4CuAg (a crystal structure in OQMD, relaxed with GGA-PBE; copper Kα).

Cell and atoms:
a = 8.2170 Å, b = 4.5067 Å, c = 10.4914 Å
α = 90.00°, β = 90.00°, γ = 90.00°
Space group Amm2 (No. 38)
Symmetry-distinct sites (fractional):
La 0.0000 0.0000 0.0000 x2
La 0.5000 0.0000 0.1165 x2
Mg 0.1890 0.0000 0.7071 x4
Mg 0.2983 0.0000 0.4087 x4
Cu 0.0000 0.0000 0.2878 x2
Ag 0.5000 0.0000 0.8281 x2

Peak list (10 most intense, 15 to 90 degrees two-theta, low angle first)
2θ/deg, I_rel
21.46, 433
21.63, 617
30.65, 794
34.24, 1000
35.94, 349
40.01, 276
45.93, 168
46.70, 333
54.86, 203
66.16, 152